Diffraction record for CoAsO4. The powder diffractogram is computed, not measured: it uses a DFT-relaxed cell (GGA+U, OQMD) and copper Kα.

Atomic structure:
```
data_CoAsO4
_cell_length_a 4.9249
_cell_length_b 4.9249
_cell_length_c 11.2725
_cell_angle_alpha 90.00
_cell_angle_beta 90.00
_cell_angle_gamma 120.00
_symmetry_space_group_name_H-M 'P 31 2 1'
_symmetry_Int_Tables_number 152
loop_
_symmetry_equiv_pos_as_xyz
'x,y,z'
'-y,x-y,z+1/3'
'-x+y,-x,z+2/3'
'y,x,-z'
'x-y,-y,-z+2/3'
'-x,-x+y,-z+1/3'
loop_
_atom_site_label
_atom_site_type_symbol
_atom_site_fract_x
_atom_site_fract_y
_atom_site_fract_z
Co1 Co 0.0000 0.4411 0.1667
As1 As 0.0000 0.4420 0.6667
O1 O 0.0530 0.6690 0.7903
O2 O 0.0779 0.6908 0.2991
```

Most intense lines, 5° ≤ 2θ ≤ 70°, in order of rising 2θ:
(1 0 0), 20.83 deg, I 185
(0 1 2), 26.20 deg, I 1000
(1 1 0), 36.49 deg, I 130
(1 0 4), 38.28 deg, I 235
(1 1 2), 39.95 deg, I 136
(2 0 0), 42.39 deg, I 182
(2 1 2), 59.66 deg, I 156
(1 2 4), 66.86 deg, I 129